Entry 1:
Computed X-ray powder pattern
Compound: DyY6Ho2Er
Radiation: λ = 1.5418 Å (Cu Kα)
Structure: a PBE-relaxed structure
Intensities are scaled so that the largest is 1000.

Most intense lines, 2θ = 10–80°, sorted by position:
- (2 2 -2), 2θ 27.91, rel. 275
- (1 3 2), 2θ 28.79, rel. 372
- (0 2 3), 2θ 30.61, rel. 857
- (1 5 0), 2θ 31.53, rel. 398
- (2 2 2), 2θ 31.73, rel. 1000
- (1 3 -3), 2θ 33.75, rel. 370

Crystal structure
Cell: 9.068 14.958 9.612 Å, 90.00 98.59 90.00°
Space group C2/c (No. 15)
Inequivalent atoms, fractional coordinates:
Dy  0.000  0.092  0.250
Y  0.063  0.316  0.444
Y  0.102  0.105  0.619
Y  0.205  0.277  0.816
Ho  0.246  0.449  0.045
Er  0.000  0.477  0.750

***

Entry 2:
Computed X-ray powder pattern
Compound: Hf3N2O3
Radiation: λ = 1.5418 Å (Cu Kα)
Structure: a PBE-relaxed structure
Intensities are scaled so that the largest is 1000.

Most intense lines, 2θ = 10–80°, sorted by position:
- (2 0 0), 2θ 16.88, rel. 540
- (1 1 0), 2θ 23.54, rel. 937
- (2 0 -3), 2θ 30.45, rel. 480
- (2 0 3), 2θ 30.64, rel. 500
- (3 1 0), 2θ 33.85, rel. 775
- (1 1 3), 2θ 34.81, rel. 1000

Crystal structure
Cell: 10.504 4.050 10.574 Å, 90.00 90.38 90.00°
Space group Cm (No. 8)
Inequivalent atoms, fractional coordinates:
Hf  0.000  0.000  0.000
Hf  0.002  0.000  0.379
Hf  0.286  0.000  0.507
Hf  0.289  0.000  0.878
Hf  0.334  0.000  0.189
Hf  0.450  0.500  0.697
N  0.343  0.500  0.867
N  0.380  0.000  0.686
N  0.440  0.000  0.368
N  0.445  0.000  0.023
O  0.094  0.000  0.554
O  0.098  0.000  0.825
O  0.183  0.000  0.322
O  0.188  0.000  0.057
O  0.334  0.500  0.513
O  0.395  0.500  0.194

***

Entry 3:
Computed X-ray powder pattern
Compound: Sr3ZnI3
Radiation: λ = 1.5418 Å (Cu Kα)
Structure: a PBE-relaxed structure
Intensities are scaled so that the largest is 1000.

Most intense lines, 2θ = 10–80°, sorted by position:
- (3 2 1), 2θ 24.98, rel. 136
- (4 0 0), 2θ 26.74, rel. 1000
- (4 4 0), 2θ 38.17, rel. 762
- (4 4 4), 2θ 47.21, rel. 271
- (8 4 0), 2θ 62.26, rel. 343
- (8 4 4), 2θ 68.99, rel. 249

Crystal structure
Cell: 13.337 13.337 13.337 Å, 90.00 90.00 90.00°
Space group I4_132 (No. 214)
Inequivalent atoms, fractional coordinates:
Sr  0.118  0.368  0.125
Zn  0.125  0.125  0.125
I  0.121  0.129  0.625

***

Entry 4:
Computed X-ray powder pattern
Compound: NaPdF
Radiation: λ = 1.5418 Å (Cu Kα)
Structure: a PBE-relaxed structure
Intensities are scaled so that the largest is 1000.

Most intense lines, 2θ = 10–80°, sorted by position:
- (0 1 2), 2θ 34.64, rel. 634
- (0 1 5), 2θ 36.88, rel. 1000
- (1 0 7), 2θ 39.30, rel. 647
- (0 1 8), 2θ 40.76, rel. 582
- (1 0 13), 2θ 49.98, rel. 531
- (1 1 0), 2θ 61.22, rel. 416

Crystal structure
Cell: 3.0279 3.0279 33.0395 Å, 90.00 90.00 120.00°
Space group R3m (No. 160, hexagonal axes)
Inequivalent atoms, fractional coordinates:
Na  0.0000  0.0000  0.0000
Na  0.0000  0.0000  0.0900
Pd  0.0000  0.0000  0.2569
Pd  0.0000  0.0000  0.8605
F  0.0000  0.0000  0.7078
F  0.0000  0.0000  0.7958

***

Entry 5:
Computed X-ray powder pattern
Compound: MnV6Cr2
Radiation: λ = 1.5418 Å (Cu Kα)
Structure: a PBE-relaxed structure
Intensities are scaled so that the largest is 1000.

Most intense lines, 2θ = 10–80°, sorted by position:
- (1 1 -3), 2θ 34.99, rel. 256
- (0 4 0), 2θ 40.68, rel. 395
- (2 2 2), 2θ 43.12, rel. 1000
- (3 1 -1), 2θ 44.19, rel. 281
- (1 1 -4), 2θ 45.09, rel. 354
- (1 3 -3), 2θ 45.70, rel. 371

Crystal structure
Cell: 6.370 8.872 8.431 Å, 90.00 97.25 90.00°
Space group C2/c (No. 15)
Inequivalent atoms, fractional coordinates:
Mn  0.000  0.057  0.250
V  0.060  0.259  0.432
V  0.107  0.465  0.649
V  0.179  0.221  0.812
Cr  0.188  0.007  0.053

***

Entry 6:
Computed X-ray powder pattern
Compound: AcGa4CuAg2
Radiation: λ = 1.5418 Å (Cu Kα)
Structure: a PBE-relaxed structure
Intensities are scaled so that the largest is 1000.

Most intense lines, 2θ = 10–80°, sorted by position:
- (1 0 4), 2θ 26.23, rel. 299
- (0 1 5), 2θ 28.01, rel. 361
- (0 1 8), 2θ 34.77, rel. 850
- (1 1 0), 2θ 39.96, rel. 1000
- (2 0 8), 2θ 53.98, rel. 237
- (1 2 8), 2θ 69.23, rel. 237

Crystal structure
Cell: 4.5128 4.5128 27.4860 Å, 90.00 90.00 120.00°
Space group R-3m (No. 166, hexagonal axes)
Inequivalent atoms, fractional coordinates:
Ac  0.0000  0.0000  0.0000
Ga  0.0000  0.0000  0.1322
Ga  0.0000  0.0000  0.4056
Cu  0.0000  0.0000  0.5000
Ag  0.0000  0.0000  0.2376

***

Please write out number 6 again, unchanged.
Computed X-ray powder pattern
Compound: AcGa4CuAg2
Radiation: λ = 1.5418 Å (Cu Kα)
Structure: a PBE-relaxed structure
Intensities are scaled so that the largest is 1000.

Most intense lines, 2θ = 10–80°, sorted by position:
- (1 0 4), 2θ 26.23, rel. 299
- (0 1 5), 2θ 28.01, rel. 361
- (0 1 8), 2θ 34.77, rel. 850
- (1 1 0), 2θ 39.96, rel. 1000
- (2 0 8), 2θ 53.98, rel. 237
- (1 2 8), 2θ 69.23, rel. 237

Crystal structure
Cell: 4.5128 4.5128 27.4860 Å, 90.00 90.00 120.00°
Space group R-3m (No. 166, hexagonal axes)
Inequivalent atoms, fractional coordinates:
Ac  0.0000  0.0000  0.0000
Ga  0.0000  0.0000  0.1322
Ga  0.0000  0.0000  0.4056
Cu  0.0000  0.0000  0.5000
Ag  0.0000  0.0000  0.2376